For V4Bi3, the PBE geometry in the Materials Project gives the computed X-ray diffraction stick pattern in this record (Cu Kα).
Lines closer than 0.1° are merged.

Main lines, by angle (2θ from 10° to 90°):
Position (°2θ)  Rel. int.
26.76  32.1
27.20  40.2
28.68  87.4
29.90  100.0
41.00  80.3
42.62  39.9

Unit cell a=7.2226 b=7.2226 c=10.6252 alpha=108.92 beta=108.92 gamma=34.16
Fractional coordinates of all 14 atoms:
V: 0.0000 0.0000 0.0000
V: 0.0000 0.0000 0.5000
V: 0.2091 0.2091 0.6525
V: 0.3633 0.3633 0.0238
V: 0.4400 0.4400 0.8536
V: 0.5600 0.5600 0.1464
V: 0.6367 0.6367 0.9762
V: 0.7909 0.7909 0.3475
Bi: 0.0568 0.0568 0.7749
Bi: 0.2140 0.2140 0.1646
Bi: 0.3708 0.3708 0.5413
Bi: 0.6292 0.6292 0.4587
Bi: 0.7860 0.7860 0.8354
Bi: 0.9432 0.9432 0.2251

***

For VBi2, the PBE geometry in the Materials Project gives the computed X-ray diffraction stick pattern in this record (Cu Kα).
Lines closer than 0.1° are merged.

Main lines, by angle (2θ from 10° to 90°):
Position (°2θ)  Rel. int.
28.06  55.2
30.67  94.6
32.02  87.6
33.67  61.0
34.69  100.0
39.40  54.3

Unit cell a=10.7406 b=3.7658 c=8.4376 alpha=90.00 beta=121.54 gamma=90.00
Fractional coordinates of all 12 atoms:
V: 0.1438 0.0000 0.1829
V: 0.3562 0.5000 0.8171
V: 0.6438 0.5000 0.1829
V: 0.8562 0.0000 0.8171
Bi: 0.0912 0.5000 0.8863
Bi: 0.1578 0.0000 0.5494
Bi: 0.3422 0.5000 0.4506
Bi: 0.4088 0.0000 0.1137
Bi: 0.5912 0.0000 0.8863
Bi: 0.6578 0.5000 0.5494
Bi: 0.8422 0.0000 0.4506
Bi: 0.9088 0.5000 0.1137

***

For V4Bi3, the PBE geometry in the Materials Project gives the computed X-ray diffraction stick pattern in this record (Cu Kα).
Lines closer than 0.1° are merged.

Main lines, by angle (2θ from 10° to 90°):
Position (°2θ)  Rel. int.
28.17  34.3
28.92  100.0
31.15  65.5
39.19  43.1
42.45  42.6
42.79  37.9

Unit cell a=7.2550 b=7.2550 c=20.3943 alpha=90.00 beta=90.00 gamma=146.13
Fractional coordinates of all 28 atoms:
V: 0.0000 0.0000 0.0000
V: 0.0000 0.0000 0.5000
V: 0.1012 0.8988 0.7500
V: 0.2939 0.7061 0.6693
V: 0.2939 0.7061 0.8307
V: 0.3986 0.6014 0.0163
V: 0.3986 0.6014 0.4837
V: 0.4603 0.5397 0.5948
V: 0.4603 0.5397 0.9052
V: 0.5397 0.4603 0.0948
V: 0.5397 0.4603 0.4052
V: 0.6014 0.3986 0.5163
V: 0.6014 0.3986 0.9837
V: 0.7061 0.2939 0.1693
V: 0.7061 0.2939 0.3307
V: 0.8988 0.1012 0.2500
Bi: 0.1008 0.8992 0.6164
Bi: 0.1008 0.8992 0.8836
Bi: 0.1840 0.8160 0.0711
Bi: 0.1840 0.8160 0.4289
Bi: 0.2646 0.7354 0.2500
Bi: 0.4628 0.5372 0.7500
Bi: 0.5372 0.4628 0.2500
Bi: 0.7354 0.2646 0.7500
Bi: 0.8160 0.1840 0.5711
Bi: 0.8160 0.1840 0.9289
Bi: 0.8992 0.1008 0.1164
Bi: 0.8992 0.1008 0.3836